1.
Structure and simulated powder diffractogram of LiPuScO5 (a DFT-relaxed cell (PBE, Alexandria); Cu Kα (weighted mean of Kα1 and Kα2)).
Intensities are scaled so that the largest is 100.

Cell and atoms:
a = 6.5117 Å, b = 9.0389 Å, c = 7.6446 Å
α = 90.00°, β = 113.88°, γ = 90.00°
Space group C2/c (No. 15)
One atom of each set of equivalent atoms:
1 Li 0.0000 0.1890 0.2500
2 Pu 0.0000 0.5000 0.0000
3 Sc 0.0000 0.1325 0.7500
4 O 0.0000 0.3718 0.7500
5 O 0.1481 0.3259 0.1560
6 O 0.1671 0.0428 0.4329

Main lines, by intensity (2θ = 10–90°):
(1 1 0), 17.84 deg, I 100.0
(1 1 -2), 25.73 deg, I 76.2
(0 2 0), 19.64 deg, I 53.1
(0 2 2), 32.38 deg, I 41.4
(2 2 0), 36.10 deg, I 38.7
(1 3 0), 33.33 deg, I 28.0
(2 0 0), 30.01 deg, I 26.1
(3 1 -2), 43.52 deg, I 20.7
(0 4 2), 47.94 deg, I 18.0
(2 2 -2), 36.60 deg, I 18.0
(1 5 0), 52.91 deg, I 16.1
(0 0 2), 25.48 deg, I 15.7



2.
Structure and simulated powder diffractogram of Tb4Si2Te (a DFT-relaxed cell (PBE, Alexandria); Cu Kα (weighted mean of Kα1 and Kα2)).
Intensities are scaled so that the largest is 100.

Cell and atoms:
a = 12.2864 Å, b = 12.2864 Å, c = 12.2864 Å
α = 90.00°, β = 90.00°, γ = 90.00°
Space group Fd-3m (No. 227, origin choice 2)
One atom of each set of equivalent atoms:
1 Tb 0.0191 0.0191 0.2309
2 Si 0.0000 0.0000 0.0000
3 Te 0.1250 0.1250 0.6250

Main lines, by intensity (2θ = 10–90°):
(2 2 2), 25.11 deg, I 100.0
(4 4 0), 41.58 deg, I 67.4
(5 1 1), 38.06 deg, I 52.3
(4 0 0), 29.07 deg, I 47.1
(3 3 1), 31.75 deg, I 31.8
(6 2 2), 49.19 deg, I 27.9
(2 2 0), 20.45 deg, I 23.7
(9 5 1), 80.94 deg, I 21.6
(5 5 1), 53.24 deg, I 19.1
(7 3 3), 61.81 deg, I 17.2
(5 5 3), 57.63 deg, I 13.5
(9 3 1), 73.53 deg, I 11.7



3.
Structure and simulated powder diffractogram of ZnCrBr2 (a DFT-relaxed cell (PBE, Alexandria); Cu Kα (weighted mean of Kα1 and Kα2)).
Intensities are scaled so that the largest is 100.

Cell and atoms:
a = 3.5462 Å, b = 6.9283 Å, c = 9.3362 Å
α = 90.00°, β = 90.00°, γ = 90.00°
Space group Cmm2 (No. 35)
One atom of each set of equivalent atoms:
1 Zn 0.0000 0.0000 0.0000
2 Cr 0.0000 0.5000 0.2215
3 Br 0.0000 0.0000 0.4061
4 Br 0.0000 0.5000 0.8147

Main lines, by intensity (2θ = 10–90°):
(1 1 2), 34.29 deg, I 100.0
(0 2 0), 25.72 deg, I 99.8
(1 1 3), 40.71 deg, I 63.2
(0 2 5), 55.95 deg, I 43.9
(0 0 2), 19.01 deg, I 33.8
(1 3 2), 51.09 deg, I 30.5
(1 1 1), 29.88 deg, I 19.4
(2 2 0), 58.47 deg, I 18.6
(0 2 2), 32.18 deg, I 17.8
(0 0 5), 48.77 deg, I 15.5
(2 2 5), 79.52 deg, I 14.0
(2 0 0), 51.54 deg, I 13.8



4.
Structure and simulated powder diffractogram of Sm2Tm3Ge4 (a DFT-relaxed cell (PBE, Alexandria); Cu Kα (weighted mean of Kα1 and Kα2)).
Intensities are scaled so that the largest is 100.

Cell and atoms:
a = 7.8820 Å, b = 7.7806 Å, c = 7.5820 Å
α = 90.00°, β = 111.36°, γ = 90.00°
Space group P2_1/c (No. 14)
One atom of each set of equivalent atoms:
1 Sm 0.1959 0.1801 0.0646
2 Tm 0.2415 0.6642 0.2348
3 Tm 0.5000 0.0000 0.5000
4 Ge 0.0864 0.5394 0.8338
5 Ge 0.4926 0.1317 0.8684

Main lines, by intensity (2θ = 10–90°):
(2 2 -1), 32.56 deg, I 100.0
(1 1 -3), 37.45 deg, I 93.9
(1 1 2), 33.95 deg, I 91.4
(2 2 0), 33.57 deg, I 57.7
(1 2 -2), 33.13 deg, I 50.4
(0 3 1), 36.92 deg, I 47.3
(3 0 0), 36.73 deg, I 36.4
(2 1 -2), 30.28 deg, I 35.6
(1 2 1), 30.81 deg, I 33.3
(3 0 -2), 36.26 deg, I 31.0
(1 1 -2), 26.32 deg, I 27.9
(2 1 1), 33.40 deg, I 24.7



5.
Structure and simulated powder diffractogram of Sr2NdGa4 (a DFT-relaxed cell (PBE, Alexandria); Cu Kα (weighted mean of Kα1 and Kα2)).
Intensities are scaled so that the largest is 100.

Cell and atoms:
a = 4.3428 Å, b = 4.4516 Å, c = 19.9606 Å
α = 90.00°, β = 90.00°, γ = 90.00°
Space group Immm (No. 71)
One atom of each set of equivalent atoms:
1 Sr 0.0000 0.0000 0.1828
2 Nd 0.0000 0.5000 0.5000
3 Ga 0.0000 0.0000 0.3701
4 Ga 0.0000 0.5000 0.0616

Main lines, by intensity (2θ = 10–90°):
(0 1 5), 30.09 deg, I 100.0
(1 1 4), 33.98 deg, I 30.4
(1 0 7), 37.74 deg, I 21.7
(2 0 0), 41.59 deg, I 17.9
(0 2 0), 40.53 deg, I 17.8
(2 1 5), 52.17 deg, I 16.9
(1 0 9), 45.95 deg, I 14.0
(1 2 7), 56.57 deg, I 13.1
(2 2 0), 59.47 deg, I 11.3
(1 2 9), 62.91 deg, I 10.8
(0 1 11), 54.62 deg, I 10.4
(0 3 5), 67.33 deg, I 9.7



6.
Structure and simulated powder diffractogram of Ga2Ag3 (a DFT-relaxed cell (PBE, Alexandria); Cu Kα (weighted mean of Kα1 and Kα2)).
Intensities are scaled so that the largest is 100.

Cell and atoms:
a = 11.3440 Å, b = 3.0245 Å, c = 10.6228 Å
α = 90.00°, β = 90.00°, γ = 90.00°
Space group Pnma (No. 62)
One atom of each set of equivalent atoms:
1 Ga 0.0819 0.2500 0.1874
2 Ga 0.2083 0.2500 0.4824
3 Ag 0.0114 0.7500 0.3860
4 Ag 0.0931 0.2500 0.9298
5 Ag 0.1872 0.7500 0.7160

Main lines, by intensity (2θ = 10–90°):
(1 0 4), 34.68 deg, I 100.0
(5 0 1), 40.69 deg, I 91.4
(0 1 3), 39.17 deg, I 73.9
(3 1 1), 39.07 deg, I 60.1
(2 0 4), 37.39 deg, I 48.3
(3 1 2), 41.86 deg, I 44.9
(1 1 3), 40.00 deg, I 36.3
(0 2 0), 61.27 deg, I 34.8
(4 0 1), 32.68 deg, I 30.9
(2 1 2), 37.72 deg, I 30.3
(3 0 5), 49.19 deg, I 26.1
(4 1 2), 47.15 deg, I 25.9



7.
Structure and simulated powder diffractogram of PmPr2Co3 (a DFT-relaxed cell (PBE, Alexandria); Cu Kα (weighted mean of Kα1 and Kα2)).
Intensities are scaled so that the largest is 100.

Cell and atoms:
a = 14.1911 Å, b = 8.1860 Å, c = 4.6182 Å
α = 90.00°, β = 90.00°, γ = 90.00°
Space group Cmcm (No. 63)
One atom of each set of equivalent atoms:
1 Pm 0.0000 0.1649 0.2500
2 Pr 0.1658 0.3324 0.7500
3 Co 0.0000 0.5000 0.0000
4 Co 0.1651 0.0000 0.0000

Main lines, by intensity (2θ = 10–90°):
(3 1 1), 29.15 deg, I 100.0
(6 0 0), 38.06 deg, I 66.9
(3 1 2), 45.07 deg, I 34.7
(6 2 1), 48.65 deg, I 24.3
(9 1 1), 63.38 deg, I 21.9
(6 2 2), 60.43 deg, I 14.0
(9 3 0), 68.78 deg, I 11.2
(3 1 3), 64.69 deg, I 10.3
(3 5 2), 73.70 deg, I 10.1
(12 2 1), 88.70 deg, I 9.0
(9 1 3), 89.87 deg, I 8.8
(12 0 0), 81.41 deg, I 7.0



8.
Structure and simulated powder diffractogram of Pu3Al2Ni6 (a DFT-relaxed cell (PBE, Alexandria); Cu Kα (weighted mean of Kα1 and Kα2)).
Intensities are scaled so that the largest is 100.

Cell and atoms:
a = 8.8028 Å, b = 8.8028 Å, c = 8.8028 Å
α = 90.00°, β = 90.00°, γ = 90.00°
Space group Im-3m (No. 229)
One atom of each set of equivalent atoms:
1 Pu 0.0000 0.0000 0.2702
2 Al 0.2500 0.2500 0.2500
3 Ni 0.0000 0.3447 0.3447

Main lines, by intensity (2θ = 10–90°):
(3 3 0), 43.62 deg, I 100.0
(2 2 2), 35.32 deg, I 70.0
(3 2 1), 38.26 deg, I 50.0
(3 1 0), 32.16 deg, I 43.7
(2 1 1), 24.77 deg, I 39.3
(6 2 2), 71.03 deg, I 34.2
(4 0 0), 41.01 deg, I 34.0
(5 2 1), 57.33 deg, I 28.8
(5 3 2), 65.35 deg, I 25.7
(2 2 0), 28.68 deg, I 23.1
(2 0 0), 20.18 deg, I 21.5
(4 4 0), 59.39 deg, I 17.9



9.
Structure and simulated powder diffractogram of NaNd2SiO5 (a DFT-relaxed cell (PBE, Alexandria); Cu Kα (weighted mean of Kα1 and Kα2)).
Intensities are scaled so that the largest is 100.

Cell and atoms:
a = 6.8511 Å, b = 6.8511 Å, c = 5.4184 Å
α = 90.00°, β = 90.00°, γ = 90.00°
Space group P4/mbm (No. 127)
One atom of each set of equivalent atoms:
1 Na 0.0000 0.0000 0.0000
2 Nd 0.1795 0.3205 0.5000
3 Si 0.0000 0.5000 0.0000
4 O 0.0000 0.0000 0.5000
5 O 0.1245 0.6245 0.2292

Main lines, by intensity (2θ = 10–90°):
(2 1 1), 33.60 deg, I 100.0
(0 0 1), 16.36 deg, I 97.9
(2 0 1), 30.88 deg, I 69.4
(2 1 2), 44.65 deg, I 62.2
(2 1 0), 29.15 deg, I 39.1
(4 1 1), 58.06 deg, I 31.4
(0 0 2), 33.06 deg, I 25.9
(4 1 2), 65.95 deg, I 21.3
(0 0 3), 50.54 deg, I 18.8
(3 1 1), 45.07 deg, I 18.7
(4 1 0), 55.28 deg, I 18.3
(3 1 0), 41.69 deg, I 17.0



10.
Structure and simulated powder diffractogram of Ba2ZnIn3Ga4 (a DFT-relaxed cell (PBE, Alexandria); Cu Kα (weighted mean of Kα1 and Kα2)).
Intensities are scaled so that the largest is 100.

Cell and atoms:
a = 4.7915 Å, b = 4.7915 Å, c = 11.3727 Å
α = 90.00°, β = 90.00°, γ = 90.00°
Space group P-4m2 (No. 115)
One atom of each set of equivalent atoms:
1 Ba 0.0000 0.5000 0.2479
2 Zn 0.5000 0.5000 0.0000
3 In 0.0000 0.0000 0.0000
4 In 0.0000 0.5000 0.6325
5 Ga 0.0000 0.0000 0.5000
6 Ga 0.0000 0.5000 0.8751
7 Ga 0.5000 0.5000 0.5000

Main lines, by intensity (2θ = 10–90°):
(1 1 2), 30.72 deg, I 100.0
(2 0 0), 37.54 deg, I 72.3
(1 0 3), 30.06 deg, I 71.4
(2 1 3), 48.82 deg, I 36.3
(1 0 5), 44.07 deg, I 30.5
(2 1 5), 59.24 deg, I 25.0
(3 1 2), 63.54 deg, I 24.9
(2 2 0), 54.14 deg, I 24.4
(1 1 4), 41.46 deg, I 23.0
(1 1 0), 26.30 deg, I 18.4
(2 0 8), 78.19 deg, I 15.8
(1 1 6), 55.56 deg, I 13.4



11.
Structure and simulated powder diffractogram of ScFeSb2I (a DFT-relaxed cell (PBE, Alexandria); Cu Kα (weighted mean of Kα1 and Kα2)).
Intensities are scaled so that the largest is 100.

Cell and atoms:
a = 4.9167 Å, b = 4.9167 Å, c = 5.5645 Å
α = 90.00°, β = 90.00°, γ = 90.00°
Space group P4/mmm (No. 123)
One atom of each set of equivalent atoms:
1 Sc 0.0000 0.0000 0.0000
2 Fe 0.5000 0.5000 0.5000
3 Sb 0.0000 0.5000 0.5000
4 I 0.5000 0.5000 0.0000

Main lines, by intensity (2θ = 10–90°):
(1 1 1), 30.31 deg, I 100.0
(2 0 0), 36.55 deg, I 53.7
(2 0 2), 49.48 deg, I 44.1
(0 0 2), 32.17 deg, I 38.2
(1 0 0), 18.04 deg, I 28.0
(3 1 1), 61.97 deg, I 25.2
(2 2 2), 63.06 deg, I 20.8
(1 1 3), 56.20 deg, I 18.3
(2 2 0), 52.65 deg, I 18.3
(0 0 1), 15.93 deg, I 16.1
(3 1 3), 80.62 deg, I 12.9
(2 0 4), 79.10 deg, I 10.7



12.
Structure and simulated powder diffractogram of CuGeI4 (a DFT-relaxed cell (PBE, Alexandria); Cu Kα (weighted mean of Kα1 and Kα2)).
Intensities are scaled so that the largest is 100.

Cell and atoms:
a = 6.8006 Å, b = 6.8226 Å, c = 11.8058 Å
α = 90.00°, β = 90.00°, γ = 90.00°
Space group P222 (No. 16)
One atom of each set of equivalent atoms:
1 Cu 0.0000 0.0000 0.0000
2 Cu 0.0000 0.5000 0.5000
3 Ge 0.0000 0.0000 0.5000
4 Ge 0.5000 0.0000 0.0000
5 I 0.2181 0.2657 0.3756
6 I 0.2400 0.2169 0.8766

Main lines, by intensity (2θ = 10–90°):
(1 1 2), 23.84 deg, I 100.0
(2 0 4), 40.44 deg, I 42.4
(2 2 0), 37.34 deg, I 27.9
(0 0 2), 15.01 deg, I 22.7
(2 0 0), 26.17 deg, I 18.7
(0 0 4), 30.29 deg, I 15.1
(3 1 2), 44.84 deg, I 15.1
(1 3 2), 44.74 deg, I 14.6
(1 1 6), 50.08 deg, I 13.0
(2 2 4), 48.81 deg, I 12.6
(1 0 0), 13.00 deg, I 12.2
(3 1 6), 64.10 deg, I 10.0



13.
Structure and simulated powder diffractogram of MgMn3Te4 (a DFT-relaxed cell (PBE, Alexandria); Cu Kα (weighted mean of Kα1 and Kα2)).
Intensities are scaled so that the largest is 100.

Cell and atoms:
a = 4.5361 Å, b = 4.5361 Å, c = 12.7802 Å
α = 90.00°, β = 90.00°, γ = 90.00°
Space group P-4m2 (No. 115)
One atom of each set of equivalent atoms:
1 Mg 0.0000 0.0000 0.0000
2 Mn 0.0000 0.0000 0.5000
3 Mn 0.5000 0.5000 0.2526
4 Te 0.0000 0.5000 0.1305
5 Te 0.0000 0.5000 0.6238

Main lines, by intensity (2θ = 10–90°):
(1 0 2), 24.06 deg, I 100.0
(2 0 0), 39.80 deg, I 65.6
(2 1 2), 47.00 deg, I 32.2
(1 0 6), 47.14 deg, I 15.7
(3 1 4), 72.19 deg, I 14.2
(2 1 6), 63.31 deg, I 12.7
(1 1 0), 27.81 deg, I 10.9
(2 2 0), 57.46 deg, I 7.3
(3 2 2), 77.30 deg, I 7.2
(2 0 8), 72.35 deg, I 6.9
(3 0 2), 63.19 deg, I 6.5
(0 0 4), 27.92 deg, I 5.3